For Er2PuP3, the GGA-PBE geometry in Alexandria gives the calculated XRD peak list in this record (Cu Ka).
Intensities are scaled so that the largest is 100.

Structure:
```
6
Lattice="-1.9874 1.9874 8.4163 1.9874 -1.9874 8.4163 1.9874 1.9874 -8.4163" Properties=species:S:1:pos:R:3 pbc="T T T"
Er 0.0000 0.0000 2.8295
Er 0.0000 0.0000 14.0032
Pu 0.0000 0.0000 8.4163
P 0.0000 0.0000 0.0000
P 0.0000 0.0000 5.6172
P 0.0000 0.0000 11.2155
```

Main lines, sorted by position (5° ≤ 2θ ≤ 70°):
8.416 Å, 10.51°, intensity 4
3.243 Å, 27.50°, intensity 98
2.809 Å, 31.86°, intensity 100
1.986 Å, 45.68°, intensity 74
1.694 Å, 54.15°, intensity 48
1.622 Å, 56.77°, intensity 26
1.405 Å, 66.54°, intensity 8
1.403 Å, 66.68°, intensity 4